1.
This entry pairs a crystal structure of Er2ZrTe with its theoretical PXRD pattern. Radiation: Cu Ka. Structure: a DFT-relaxed cell (GGA-PBE, Alexandria).
Peak positions follow from Bragg's law for the DFT cell and can differ from measured ones.

Structural model:
```
data_Er2ZrTe
_cell_length_a 3.7014
_cell_length_b 3.7014
_cell_length_c 9.5301
_cell_angle_alpha 90.00
_cell_angle_beta 90.00
_cell_angle_gamma 120.00
_symmetry_space_group_name_H-M 'P -6 m 2'
_symmetry_Int_Tables_number 187
_symmetry_space_group_name_Hall 'P -6 2'
loop_
_atom_site_label
_atom_site_type_symbol
_atom_site_fract_x
_atom_site_fract_y
_atom_site_fract_z
Er1 Er 0.0000 0.0000 0.2321
Zr1 Zr 0.6667 0.3333 0.5000
Te1 Te 0.6667 0.3333 0.0000
```

Peak list (10 most intense, 10 to 90 degrees two-theta, by angle)
Position (°2θ)  d [Å]  I_rel  hkl
27.83  3.205  32  1 0 0
33.70  2.660  100  1 0 2
37.76  2.383  15  0 0 4
47.55  1.912  12  1 0 4
49.23  1.851  23  1 1 0
60.99  1.519  18  2 0 2
63.67  1.462  19  1 1 4
65.60  1.423  11  1 0 6
82.07  1.174  16  2 1 2
86.21  1.128  5  2 0 6

=====

2.
This entry pairs a crystal structure of Er2Th5 with its theoretical PXRD pattern. Radiation: Cu Ka. Structure: a DFT-relaxed cell (GGA-PBE, Alexandria).
Peak positions follow from Bragg's law for the DFT cell and can differ from measured ones.

Structural model:
```
data_Er2Th5
_cell_length_a 11.2721
_cell_length_b 4.9942
_cell_length_c 7.9772
_cell_angle_alpha 90.00
_cell_angle_beta 97.72
_cell_angle_gamma 90.00
_symmetry_space_group_name_H-M 'C 1 2/m 1'
_symmetry_Int_Tables_number 12
loop_
_symmetry_equiv_pos_as_xyz
'x,y,z'
'-x,-y,-z'
'-x,y,-z'
'x,-y,z'
'x+1/2,y+1/2,z'
'-x+1/2,-y+1/2,-z'
'-x+1/2,y+1/2,-z'
'x+1/2,-y+1/2,z'
loop_
_atom_site_label
_atom_site_type_symbol
_atom_site_fract_x
_atom_site_fract_y
_atom_site_fract_z
Er1 Er 0.0704 0.0000 0.2154
Th1 Th 0.0000 0.5000 0.5000
Th2 Th 0.1436 0.5000 0.9307
Th3 Th 0.2142 0.0000 0.6428
```

Peak list (10 most intense, 10 to 90 degrees two-theta, by angle)
Position (°2θ)  d [Å]  I_rel  hkl
30.74  2.909  100  1 1 2
30.86  2.898  99  3 1 -1
35.50  2.529  34  4 0 1
35.67  2.517  34  2 0 -3
35.96  2.497  33  0 2 0
51.41  1.777  37  4 2 1
51.55  1.773  24  2 2 -3
60.74  1.525  15  5 1 3
60.96  1.520  30  7 1 0
61.46  1.509  29  1 3 2

=====

3.
This entry pairs a crystal structure of Er3ThTl4 with its theoretical PXRD pattern. Radiation: Cu Ka. Structure: a DFT-relaxed cell (GGA-PBE, Alexandria).
Peak positions follow from Bragg's law for the DFT cell and can differ from measured ones.

Structural model:
```
data_Er3ThTl4
_cell_length_a 10.8449
_cell_length_b 7.3341
_cell_length_c 5.5287
_cell_angle_alpha 90.00
_cell_angle_beta 90.00
_cell_angle_gamma 90.00
_symmetry_space_group_name_H-M 'P m m a'
_symmetry_Int_Tables_number 51
loop_
_symmetry_equiv_pos_as_xyz
'x,y,z'
'-x,-y,-z'
'-x+1/2,-y,z'
'x+1/2,y,-z'
'x+1/2,-y,-z'
'-x+1/2,y,z'
'-x,y,-z'
'x,-y,z'
loop_
_atom_site_label
_atom_site_type_symbol
_atom_site_fract_x
_atom_site_fract_y
_atom_site_fract_z
Er1 Er 0.0000 0.0000 0.0000
Er2 Er 0.2500 0.0000 0.4305
Er3 Er 0.2500 0.5000 0.4367
Th1 Th 0.0000 0.5000 0.0000
Tl1 Tl 0.0000 0.2387 0.5000
Tl2 Tl 0.2500 0.2393 0.9271
```

Peak list (10 most intense, 10 to 90 degrees two-theta, by angle)
Position (°2θ)  d [Å]  I_rel  hkl
32.39  2.764  21  0 0 2
33.04  2.711  29  4 0 0
33.66  2.662  100  2 2 1
46.94  1.936  15  4 0 2
49.73  1.833  9  0 4 0
58.59  1.576  9  2 2 3
59.41  1.556  20  6 2 1
61.01  1.519  10  4 4 0
70.78  1.331  9  4 4 2
82.81  1.166  8  2 6 1

=====

4.
This entry pairs a crystal structure of Er12ThTl3 with its theoretical PXRD pattern. Radiation: Cu Ka. Structure: a DFT-relaxed cell (GGA-PBE, Alexandria).
Peak positions follow from Bragg's law for the DFT cell and can differ from measured ones.

Structural model:
```
data_Er12ThTl3
_cell_length_a 4.8387
_cell_length_b 4.8387
_cell_length_c 19.5951
_cell_angle_alpha 90.00
_cell_angle_beta 90.00
_cell_angle_gamma 90.00
_symmetry_space_group_name_H-M 'P 4/m m m'
_symmetry_Int_Tables_number 123
_symmetry_space_group_name_Hall '-P 4 2'
loop_
_atom_site_label
_atom_site_type_symbol
_atom_site_fract_x
_atom_site_fract_y
_atom_site_fract_z
Er1 Er 0.0000 0.0000 0.0000
Er2 Er 0.0000 0.0000 0.2451
Er3 Er 0.0000 0.0000 0.5000
Er4 Er 0.0000 0.5000 0.1232
Er5 Er 0.0000 0.5000 0.3714
Th1 Th 0.5000 0.5000 0.5000
Tl1 Tl 0.5000 0.5000 0.0000
Tl2 Tl 0.5000 0.5000 0.2442
```

Peak list (10 most intense, 10 to 90 degrees two-theta, by angle)
Position (°2θ)  d [Å]  I_rel  hkl
31.90  2.805  100  1 1 4
36.69  2.449  17  0 0 8
37.16  2.419  33  2 0 0
53.22  1.721  23  2 0 8
53.57  1.711  12  2 2 0
63.08  1.474  14  1 1 12
63.72  1.461  28  3 1 4
66.69  1.403  12  2 2 8
87.33  1.117  11  3 1 12
87.90  1.111  6  3 3 4